For Mg6NbC, a DFT-relaxed cell (GGA-PBE, the Materials Project) gives the computed powder X-ray diffraction pattern in this record (CuKα).

Main lines, in order of falling intensity (10° ≤ 2θ ≤ 90°):
2theta, I/Imax
35.80, 100
14.53, 71
36.21, 34
18.20, 31
36.88, 25
24.91, 25
40.92, 25
35.67, 21
20.13, 16
30.56, 15

a b c (Å): 4.411 7.816 9.749
angles (deg): 90.00 90.00 90.00
Sites, in units of the cell vectors:
Mg1 0.000 0.000 0.000
Mg2 0.000 0.193 0.302
Mg3 0.000 0.307 0.802
Mg4 0.000 0.500 0.500
Mg5 0.000 0.693 0.802
Mg6 0.000 0.807 0.302
Mg7 0.500 0.000 0.788
Mg8 0.500 0.229 0.055
Mg9 0.500 0.271 0.555
Mg10 0.500 0.500 0.288
Mg11 0.500 0.729 0.555
Mg12 0.500 0.771 0.055
Nb1 0.000 0.000 0.575
Nb2 0.000 0.500 0.075
C1 0.500 0.000 0.561
C2 0.500 0.500 0.061

=====

For Ti2As4W3, a DFT-relaxed cell (GGA-PBE, the Materials Project) gives the computed powder X-ray diffraction pattern in this record (CuKα).

Main lines, in order of falling intensity (10° ≤ 2θ ≤ 90°):
2theta, I/Imax
38.65, 100
38.88, 99
12.97, 91
18.32, 55
33.80, 53
41.86, 45
33.87, 45
42.01, 39
47.18, 38
43.26, 37

a b c (Å): 7.005 7.005 9.582
angles (deg): 132.95 132.95 27.79
Sites, in units of the cell vectors:
Ti1 0.000 0.000 0.000
Ti2 0.635 0.635 0.333
As1 0.353 0.353 0.996
As2 0.579 0.579 0.563
As3 0.687 0.687 0.102
As4 0.919 0.919 0.671
W1 0.260 0.260 0.649
W2 0.328 0.328 0.393
W3 0.937 0.937 0.263

=====

For Sr2CdAu3, a DFT-relaxed cell (GGA-PBE, the Materials Project) gives the computed powder X-ray diffraction pattern in this record (CuKα).

Main lines, in order of falling intensity (10° ≤ 2θ ≤ 90°):
2theta, I/Imax
36.86, 100
31.64, 30
31.26, 27
23.12, 22
21.03, 20
30.12, 16
31.09, 12
43.55, 11
31.86, 11
44.42, 10

a b c (Å): 11.283 4.883 7.695
angles (deg): 90.00 131.61 90.00
Sites, in units of the cell vectors:
Sr1 0.000 0.000 0.000
Sr2 0.086 0.000 0.591
Sr3 0.500 0.500 0.000
Sr4 0.586 0.500 0.591
Cd1 0.210 0.500 0.394
Cd2 0.710 0.000 0.394
Au1 0.204 0.500 0.001
Au2 0.376 0.000 0.587
Au3 0.385 0.000 0.181
Au4 0.704 0.000 0.001
Au5 0.876 0.500 0.587
Au6 0.885 0.500 0.181

=====

Q: Which formula does entry 1 have?
A: Mg6NbC

=====

Q: Number 3 is which compound?
A: Sr2CdAu3

=====

Please write out number 3 again, unchanged.
For Sr2CdAu3, a DFT-relaxed cell (GGA-PBE, the Materials Project) gives the computed powder X-ray diffraction pattern in this record (CuKα).

Main lines, in order of falling intensity (10° ≤ 2θ ≤ 90°):
2theta, I/Imax
36.86, 100
31.64, 30
31.26, 27
23.12, 22
21.03, 20
30.12, 16
31.09, 12
43.55, 11
31.86, 11
44.42, 10

a b c (Å): 11.283 4.883 7.695
angles (deg): 90.00 131.61 90.00
Sites, in units of the cell vectors:
Sr1 0.000 0.000 0.000
Sr2 0.086 0.000 0.591
Sr3 0.500 0.500 0.000
Sr4 0.586 0.500 0.591
Cd1 0.210 0.500 0.394
Cd2 0.710 0.000 0.394
Au1 0.204 0.500 0.001
Au2 0.376 0.000 0.587
Au3 0.385 0.000 0.181
Au4 0.704 0.000 0.001
Au5 0.876 0.500 0.587
Au6 0.885 0.500 0.181